(1)
Structure and simulated X-ray powder pattern of Tl3In4Hg (a structure optimized by DFT (PBE); Cu Kα (weighted mean of Kα1 and Kα2)).
Peak positions follow from Bragg's law for the DFT cell and can differ from measured ones.

Crystal structure
```
8
Lattice="11.5477 -1.7019 0.0000 11.5477 1.7019 0.0000 -0.2794 0.0000 5.8046" Properties=species:S:1:pos:R:3 pbc="T T T"
Tl 0.0000 0.0000 0.0000
Tl 2.7342 0.0000 2.4635
Tl 20.0818 0.0000 3.3411
In 5.5454 0.0000 4.3463
In 8.5106 0.0000 0.4388
In 14.3054 0.0000 5.3658
In 17.2706 0.0000 1.4584
Hg 11.4080 0.0000 2.9023
```

Principal peaks in the range 2θ = 10–80°, in order of rising 2θ:
two_theta, I/Imax
31.01, 57
32.16, 43
32.37, 100
36.68, 70
37.93, 29
53.04, 25
54.53, 16
61.73, 15
63.47, 15
64.14, 13

---

(2)
Structure and simulated X-ray powder pattern of TlIn2Hg (a structure optimized by DFT (PBE); Cu Kα (weighted mean of Kα1 and Kα2)).
Peak positions follow from Bragg's law for the DFT cell and can differ from measured ones.

Crystal structure
```
4
Lattice="1.9226 -2.7290 0.0000 1.9226 2.7290 0.0000 0.0000 0.0000 10.6801" Properties=species:S:1:pos:R:3 pbc="T T T"
Tl 0.0000 0.0000 0.0000
In 0.0000 0.0000 5.3771
In 1.9226 0.0000 2.7671
Hg 1.9226 0.0000 7.9540
```

Principal peaks in the range 2θ = 10–80°, in order of rising 2θ:
two_theta, I/Imax
32.82, 26
33.07, 100
33.56, 24
47.28, 9
47.65, 18
58.75, 29
59.22, 9
59.70, 18
69.39, 12
78.76, 12

---

(3)
Structure and simulated X-ray powder pattern of Tl2In5Hg6 (a structure optimized by DFT (PBE); Cu Kα (weighted mean of Kα1 and Kα2)).
Peak positions follow from Bragg's law for the DFT cell and can differ from measured ones.

Crystal structure
```
26
Lattice="11.8256 0.0000 0.0000 0.0000 17.3509 0.0000 0.0000 0.0000 3.5208" Properties=species:S:1:pos:R:3 pbc="T T T"
Tl 1.5464 4.0761 0.0000
Tl 4.3664 12.7516 0.0000
Tl 7.4592 4.5993 0.0000
Tl 10.2792 13.2748 0.0000
In 0.0000 8.6755 1.7604
In 1.3751 13.3769 1.7604
In 2.0796 1.0186 1.7604
In 3.8332 9.6940 1.7604
In 4.5377 4.7015 1.7604
In 5.9128 0.0000 1.7604
In 7.2879 12.6494 1.7604
In 7.9925 7.6569 1.7604
In 9.7460 16.3324 1.7604
In 10.4506 3.9740 1.7604
Hg 0.6799 15.9463 0.0000
Hg 1.3168 10.8231 0.0000
Hg 2.3537 6.8856 1.7604
Hg 3.5591 15.5611 1.7604
Hg 4.5960 2.1477 0.0000
Hg 5.2329 7.2709 0.0000
Hg 6.5927 10.0800 0.0000
Hg 7.2296 15.2032 0.0000
Hg 8.2665 1.7899 1.7604
Hg 9.4719 10.4653 1.7604
Hg 10.5088 6.5278 0.0000
Hg 11.1457 1.4046 0.0000
```

Principal peaks in the range 2θ = 10–80°, in order of rising 2θ:
two_theta, I/Imax
28.38, 13
30.67, 18
30.92, 20
33.43, 100
34.06, 18
34.43, 17
36.20, 14
37.06, 17
51.94, 15
59.99, 15